Computed PXRD pattern
Compound: CaEuCdCu
Radiation: Cu Kα, 1.54184 Å
Structure: a PBE-relaxed structure
Lines closer than 0.1° are merged.

Top 6 peaks for 2θ = 15–90°, low angle first:
2θ/deg  I_rel
20.45  22
33.71  100
39.75  13
48.41  18
60.29  35
80.83  15

Crystal structure
```
CaEuCdCu
1.0
0.0000 3.7604 3.7604
3.7604 0.0000 3.7604
3.7604 3.7604 0.0000
Ca Eu Cd Cu
1 1 1 1
Cartesian
0.0000 0.0000 0.0000 Ca
3.7604 3.7604 3.7604 Eu
1.8802 1.8802 1.8802 Cd
5.6407 5.6407 5.6407 Cu
```